1.
For Al12Fe6Tc, a cell relaxed with PBE gives the computed X-ray diffraction stick pattern in this record (Cu Kα).

Structural model:
a b c (Å): 7.002 7.002 7.002
angles (deg): 109.47 109.47 109.47
Sites, in units of the cell vectors:
1 Al 0.102 0.824 0.278
2 Al 0.176 0.278 0.454
3 Al 0.176 0.722 0.898
4 Al 0.278 0.102 0.824
5 Al 0.278 0.454 0.176
6 Al 0.454 0.176 0.278
7 Al 0.546 0.824 0.722
8 Al 0.722 0.546 0.824
9 Al 0.722 0.898 0.176
10 Al 0.824 0.278 0.102
11 Al 0.824 0.722 0.546
12 Al 0.898 0.176 0.722
13 Fe 0.141 0.641 0.500
14 Fe 0.359 0.500 0.859
15 Fe 0.500 0.141 0.641
16 Fe 0.500 0.859 0.359
17 Fe 0.641 0.500 0.141
18 Fe 0.859 0.359 0.500
19 Tc 0.000 0.000 0.000

Main lines, in order of rising 2θ (10° ≤ 2θ ≤ 90°):
2θ (°)  Rel. int.
21.99  44.6
27.01  10.7
38.57  9.2
41.80  100.0
44.84  14.9
47.72  21.8
58.18  23.8
69.79  10.7
72.00  13.7
76.33  10.5


2.
For La9InN3, a cell relaxed with PBE gives the computed X-ray diffraction stick pattern in this record (Cu Kα).

Structural model:
a b c (Å): 9.223 9.223 5.116
angles (deg): 90.00 90.00 120.00
Sites, in units of the cell vectors:
1 La 0.000 0.500 0.000
2 La 0.193 0.386 0.500
3 La 0.193 0.807 0.500
4 La 0.386 0.193 0.500
5 La 0.500 0.000 0.000
6 La 0.500 0.500 0.000
7 La 0.614 0.807 0.500
8 La 0.807 0.193 0.500
9 La 0.807 0.614 0.500
10 In 0.000 0.000 0.000
11 N 0.000 0.500 0.500
12 N 0.500 0.000 0.500
13 N 0.500 0.500 0.500

Main lines, in order of rising 2θ (10° ≤ 2θ ≤ 90°):
2θ (°)  Rel. int.
19.25  10.4
28.35  100.0
29.59  16.2
34.49  26.5
35.08  24.8
39.06  37.3
48.97  13.9
53.50  29.5
58.88  13.0
64.35  13.5


3.
For Hf2Zr2Sc7, a cell relaxed with PBE gives the computed X-ray diffraction stick pattern in this record (Cu Kα).

Structural model:
a b c (Å): 5.882 5.882 7.914
angles (deg): 98.71 98.71 94.26
Sites, in units of the cell vectors:
1 Hf 0.173 0.827 0.000
2 Hf 0.827 0.173 0.000
3 Zr 0.112 0.112 0.343
4 Zr 0.888 0.888 0.657
5 Sc 0.042 0.411 0.704
6 Sc 0.346 0.346 0.088
7 Sc 0.411 0.042 0.704
8 Sc 0.500 0.500 0.500
9 Sc 0.589 0.958 0.296
10 Sc 0.654 0.654 0.912
11 Sc 0.958 0.589 0.296

Main lines, in order of rising 2θ (10° ≤ 2θ ≤ 90°):
2θ (°)  Rel. int.
11.47  72.1
15.31  73.5
23.12  54.3
34.88  86.2
35.44  61.1
35.59  58.8
35.79  49.1
36.12  100.0
36.21  50.6
39.26  52.7


4.
For Ta3Nb7, a cell relaxed with PBE gives the computed X-ray diffraction stick pattern in this record (Cu Kα).

Structural model:
a b c (Å): 7.191 7.191 5.781
angles (deg): 97.29 97.29 38.02
Sites, in units of the cell vectors:
1 Ta 0.000 0.000 0.000
2 Ta 0.199 0.199 0.396
3 Ta 0.801 0.801 0.604
4 Nb 0.000 0.000 0.500
5 Nb 0.201 0.201 0.895
6 Nb 0.400 0.400 0.299
7 Nb 0.400 0.400 0.799
8 Nb 0.600 0.600 0.201
9 Nb 0.600 0.600 0.701
10 Nb 0.799 0.799 0.105

Main lines, in order of rising 2θ (10° ≤ 2θ ≤ 90°):
2θ (°)  Rel. int.
18.94  11.6
38.17  100.0
38.43  98.2
38.54  97.5
55.26  16.9
55.47  33.5
69.08  17.1
69.33  34.0
69.58  16.9
69.81  25.0


5.
For Pr6CuHg5, a cell relaxed with PBE gives the computed X-ray diffraction stick pattern in this record (Cu Kα).

Structural model:
a b c (Å): 9.376 9.376 9.376
angles (deg): 146.48 131.41 60.32
Sites, in units of the cell vectors:
1 Pr 0.082 0.338 0.743
2 Pr 0.238 0.000 0.238
3 Pr 0.405 0.662 0.743
4 Pr 0.595 0.338 0.257
5 Pr 0.762 0.000 0.762
6 Pr 0.918 0.662 0.257
7 Cu 0.000 0.500 0.500
8 Hg 0.172 0.172 0.000
9 Hg 0.333 0.833 0.500
10 Hg 0.500 0.500 0.000
11 Hg 0.667 0.167 0.500
12 Hg 0.828 0.828 0.000

Main lines, in order of rising 2θ (10° ≤ 2θ ≤ 90°):
2θ (°)  Rel. int.
32.99  100.0
33.14  49.4
47.12  9.2
47.57  17.9
58.81  18.9
59.11  37.2
69.20  11.5
78.47  8.1
79.18  12.0
88.29  6.2


6.
For Nd4WN5, a cell relaxed with PBE gives the computed X-ray diffraction stick pattern in this record (Cu Kα).

Structural model:
a b c (Å): 6.087 6.087 6.087
angles (deg): 100.43 100.43 129.65
Sites, in units of the cell vectors:
1 Nd 0.106 0.695 0.800
2 Nd 0.305 0.106 0.411
3 Nd 0.695 0.894 0.589
4 Nd 0.894 0.305 0.200
5 W 0.437 0.437 0.000
6 N 0.079 0.079 0.000
7 N 0.244 0.413 0.655
8 N 0.413 0.758 0.168
9 N 0.590 0.244 0.832
10 N 0.758 0.590 0.345

Main lines, in order of rising 2θ (10° ≤ 2θ ≤ 90°):
2θ (°)  Rel. int.
30.93  100.0
34.64  23.6
36.47  45.1
51.18  30.2
52.53  15.1
59.79  14.4
62.22  29.3
64.46  14.5
83.59  10.8
88.80  6.5


7.
For PrGaTeO6, a cell relaxed with PBE gives the computed X-ray diffraction stick pattern in this record (Cu Kα).

Structural model:
a b c (Å): 5.210 5.210 10.381
angles (deg): 90.00 90.00 120.00
Sites, in units of the cell vectors:
1 Pr 0.000 0.000 0.000
2 Pr 0.000 0.000 0.500
3 Ga 0.333 0.667 0.250
4 Ga 0.667 0.333 0.750
5 Te 0.333 0.667 0.750
6 Te 0.667 0.333 0.250
7 O 0.009 0.375 0.644
8 O 0.009 0.634 0.856
9 O 0.366 0.375 0.856
10 O 0.366 0.991 0.644
11 O 0.375 0.009 0.144
12 O 0.375 0.366 0.356
13 O 0.625 0.634 0.644
14 O 0.625 0.991 0.856
15 O 0.634 0.009 0.356
16 O 0.634 0.625 0.144
17 O 0.991 0.366 0.144
18 O 0.991 0.625 0.356

Main lines, in order of rising 2θ (10° ≤ 2θ ≤ 90°):
2θ (°)  Rel. int.
26.17  100.0
34.43  34.9
43.75  23.1
49.58  41.5
56.83  22.5
57.01  10.5
61.67  12.3
72.63  11.9
78.65  9.0
78.80  8.6


8.
For Ho4IrPt, a cell relaxed with PBE gives the computed X-ray diffraction stick pattern in this record (Cu Kα).

Structural model:
a b c (Å): 8.339 8.338 6.805
angles (deg): 65.93 65.91 48.16
Sites, in units of the cell vectors:
1 Ho 0.001 0.498 0.754
2 Ho 0.246 0.753 0.999
3 Ho 0.247 0.754 0.498
4 Ho 0.498 0.001 0.247
5 Ho 0.502 0.999 0.753
6 Ho 0.753 0.246 0.502
7 Ho 0.754 0.247 0.001
8 Ho 0.999 0.502 0.246
9 Ir 0.125 0.125 0.125
10 Ir 0.875 0.875 0.875
11 Pt 0.375 0.375 0.375
12 Pt 0.625 0.625 0.625

Main lines, in order of rising 2θ (10° ≤ 2θ ≤ 90°):
2θ (°)  Rel. int.
22.63  32.6
26.18  8.8
37.37  100.0
44.13  17.2
53.88  17.6
59.17  7.3
67.40  35.9
72.10  5.5
79.69  11.3
84.14  5.5


9.
For Ac4SmAg, a cell relaxed with PBE gives the computed X-ray diffraction stick pattern in this record (Cu Kα).

Structural model:
a b c (Å): 3.940 3.940 14.843
angles (deg): 90.00 90.00 90.00
Sites, in units of the cell vectors:
1 Ac 0.000 0.000 0.135
2 Ac 0.000 0.000 0.865
3 Ac 0.500 0.500 0.328
4 Ac 0.500 0.500 0.672
5 Sm 0.000 0.000 0.500
6 Ag 0.500 0.500 0.000

Main lines, in order of rising 2θ (10° ≤ 2θ ≤ 90°):
2θ (°)  Rel. int.
23.36  8.2
28.97  100.0
32.12  44.2
36.32  8.9
46.07  16.5
49.26  15.2
54.68  8.4
55.34  33.5
60.03  8.4
74.23  7.8


10.
For Np2TlO11, a cell relaxed with PBE gives the computed X-ray diffraction stick pattern in this record (Cu Kα).

Structural model:
a b c (Å): 8.637 8.637 8.637
angles (deg): 118.76 107.45 102.66
Sites, in units of the cell vectors:
1 Np 0.246 0.210 0.456
2 Np 0.254 0.710 0.964
3 Np 0.746 0.290 0.036
4 Np 0.754 0.790 0.544
5 Tl 0.250 0.250 0.000
6 Tl 0.750 0.750 0.000
7 O 0.000 0.500 0.500
8 O 0.010 0.001 0.259
9 O 0.023 0.666 0.931
10 O 0.148 0.462 0.610
11 O 0.235 0.166 0.643
12 O 0.242 0.501 0.991
13 O 0.258 0.249 0.259
14 O 0.265 0.908 0.931
15 O 0.352 0.962 0.314
16 O 0.477 0.408 0.643
17 O 0.490 0.749 0.991
18 O 0.500 0.000 0.500
19 O 0.510 0.251 0.009
20 O 0.523 0.592 0.357
21 O 0.648 0.038 0.686
22 O 0.735 0.092 0.069
23 O 0.742 0.751 0.741
24 O 0.758 0.499 0.009
25 O 0.765 0.834 0.357
26 O 0.852 0.538 0.390
27 O 0.977 0.334 0.069
28 O 0.990 0.999 0.741

Main lines, in order of rising 2θ (10° ≤ 2θ ≤ 90°):
2θ (°)  Rel. int.
13.28  39.0
16.43  29.3
21.18  35.2
23.51  26.0
23.98  100.0
26.13  58.8
26.74  70.6
43.13  36.6
44.30  35.0
49.10  20.3


11.
For La4YC10, a cell relaxed with PBE gives the computed X-ray diffraction stick pattern in this record (Cu Kα).

Structural model:
a b c (Å): 14.155 14.047 4.268
angles (deg): 82.72 79.87 17.41
Sites, in units of the cell vectors:
1 La 0.098 0.098 0.902
2 La 0.301 0.301 0.699
3 La 0.699 0.699 0.301
4 La 0.902 0.902 0.098
5 Y 0.500 0.500 0.500
6 C 0.100 0.299 0.701
7 C 0.100 0.900 0.100
8 C 0.299 0.100 0.900
9 C 0.305 0.504 0.496
10 C 0.496 0.695 0.305
11 C 0.504 0.305 0.695
12 C 0.695 0.496 0.504
13 C 0.701 0.900 0.100
14 C 0.900 0.100 0.900
15 C 0.900 0.701 0.299

Main lines, in order of rising 2θ (10° ≤ 2θ ≤ 90°):
2θ (°)  Rel. int.
26.65  100.0
27.36  36.3
32.49  56.6
42.98  41.6
46.61  19.5
47.94  30.1
54.49  15.1
54.51  14.9
54.90  19.9
69.09  19.5


12.
For ScTcBi2, a cell relaxed with PBE gives the computed X-ray diffraction stick pattern in this record (Cu Kα).

Structural model:
a b c (Å): 4.976 4.976 4.976
angles (deg): 60.00 60.00 60.00
Sites, in units of the cell vectors:
1 Sc 0.000 0.000 0.000
2 Tc 0.500 0.500 0.500
3 Bi 0.250 0.250 0.250
4 Bi 0.750 0.750 0.750

Main lines, in order of rising 2θ (10° ≤ 2θ ≤ 90°):
2θ (°)  Rel. int.
21.87  2.4
25.31  27.4
36.10  100.0
44.60  8.9
51.98  17.8
58.67  12.4
64.91  36.6
76.59  11.5
82.18  6.6
87.71  17.0